(1)
Structure and theoretical powder diffraction line list of Tb2ThTl4 (a PBE-relaxed structure; Cu Kα (λ = 1.5418 Å)).

Structure:
Lattice parameters (Å, degrees): 5.2229 5.2229 7.8465 90.00 90.00 90.00
Fractional positions:
Tb1 0.0000 0.0000 0.0000
Tb2 0.5000 0.5000 0.5000
Th1 0.0000 0.0000 0.5000
Tl1 0.0000 0.5000 0.2268
Tl2 0.0000 0.5000 0.7732
Tl3 0.5000 0.0000 0.2268
Tl4 0.5000 0.0000 0.7732

Principal peaks in the range 2θ from 10° to 90°, by angle:
2θ/deg	Rel. int.
17.0	7
26.7	12
33.3	100
34.3	53
46.3	9
49.3	24
58.9	17
60.9	36
70.0	11
77.4	6
82.0	8
82.6	8

(2)
Structure and theoretical powder diffraction line list of Li4CdHg2 (a PBE-relaxed structure; Cu Kα (λ = 1.5418 Å)).

Structure:
Lattice parameters (Å, degrees): 7.5716 7.5716 7.5716 36.21 36.21 36.21
Fractional positions:
Li1 0.0972 0.0972 0.0972
Li2 0.3658 0.3658 0.3658
Li3 0.6342 0.6342 0.6342
Li4 0.9028 0.9028 0.9028
Cd1 0.5000 0.5000 0.5000
Hg1 0.2379 0.2379 0.2379
Hg2 0.7621 0.7621 0.7621

Principal peaks in the range 2θ from 10° to 90°, by angle:
2θ/deg	Rel. int.
12.5	36
23.4	50
27.6	100
37.0	22
38.2	55
40.4	13
40.6	33
46.4	14
47.8	23
62.8	20
66.1	13
70.7	13

(3)
Structure and theoretical powder diffraction line list of SmMn6Ge6 (a PBE-relaxed structure; Cu Kα (λ = 1.5418 Å)).

Structure:
Lattice parameters (Å, degrees): 6.6052 6.6052 6.6052 133.74 103.43 94.38
Fractional positions:
Sm1 0.0000 0.0000 0.0000
Mn1 0.0000 0.0000 0.5000
Mn2 0.0000 0.5000 0.0000
Mn3 0.2521 0.5000 0.7521
Mn4 0.5000 0.0000 0.0000
Mn5 0.5000 0.5000 0.5000
Mn6 0.7479 0.5000 0.2479
Ge1 0.1702 0.6702 0.5000
Ge2 0.3374 0.3374 0.0000
Ge3 0.3464 0.0000 0.3464
Ge4 0.6536 0.0000 0.6536
Ge5 0.6626 0.6626 0.0000
Ge6 0.8298 0.3298 0.5000

Principal peaks in the range 2θ from 10° to 90°, by angle:
2θ/deg	Rel. int.
34.4	18
34.6	75
37.2	15
40.2	49
41.2	100
42.5	22
44.3	23
46.1	41
66.5	23
72.9	15
73.0	19
79.4	27

(4)
Structure and theoretical powder diffraction line list of Sc4CrSe (a PBE-relaxed structure; Cu Kα (λ = 1.5418 Å)).

Structure:
Lattice parameters (Å, degrees): 5.8156 5.8156 5.8156 60.00 60.00 60.00
Fractional positions:
Sc1 0.3765 0.3765 0.3765
Sc2 0.3765 0.3765 0.8706
Sc3 0.3765 0.8706 0.3765
Sc4 0.8706 0.3765 0.3765
Cr1 0.7500 0.7500 0.7500
Se1 0.0000 0.0000 0.0000

Principal peaks in the range 2θ from 10° to 90°, by angle:
2θ/deg	Rel. int.
18.7	1
21.6	2
30.7	41
36.2	100
37.9	28
54.7	15
58.3	30
64.0	24
72.7	6
75.9	10
76.9	9
89.1	7

(5)
Structure and theoretical powder diffraction line list of CaTl3 (a PBE-relaxed structure; Cu Kα (λ = 1.5418 Å)).

Structure:
Lattice parameters (Å, degrees): 3.7137 5.5507 5.8914 90.00 95.06 90.00
Fractional positions:
Ca1 0.0000 0.0000 0.0000
Tl1 0.2713 0.5000 0.7423
Tl2 0.5000 0.0000 0.5000
Tl3 0.7287 0.5000 0.2577

Principal peaks in the range 2θ from 10° to 90°, by angle:
2θ/deg	Rel. int.
15.1	22
16.0	15
29.7	61
31.8	100
32.3	49
34.6	82
44.4	41
52.1	25
57.2	19
57.7	20
59.0	19
61.5	23

(6)
Structure and theoretical powder diffraction line list of K2TbF5 (a PBE-relaxed structure; Cu Kα (λ = 1.5418 Å)).

Structure:
Lattice parameters (Å, degrees): 10.9711 7.3622 6.6950 90.00 90.00 90.00
Fractional positions:
K1 0.1718 0.0026 0.0320
K2 0.1718 0.4974 0.0320
K3 0.3282 0.5026 0.5320
K4 0.3282 0.9974 0.5320
K5 0.6718 0.0026 0.4680
K6 0.6718 0.4974 0.4680
K7 0.8282 0.5026 0.9680
K8 0.8282 0.9974 0.9680
Tb1 0.0047 0.2500 0.5611
Tb2 0.4953 0.7500 0.0611
Tb3 0.5047 0.2500 0.9389
Tb4 0.9953 0.7500 0.4389
F1 0.0128 0.2500 0.8934
F2 0.0770 0.5347 0.6460
F3 0.0770 0.9653 0.6460
F4 0.1674 0.2500 0.3694
F5 0.1910 0.7500 0.3362
F6 0.3090 0.2500 0.8362
F7 0.3326 0.7500 0.8694
F8 0.4230 0.0347 0.1460
F9 0.4230 0.4653 0.1460
F10 0.4872 0.7500 0.3934
F11 0.5128 0.2500 0.6066
F12 0.5770 0.5347 0.8540
F13 0.5770 0.9653 0.8540
F14 0.6674 0.2500 0.1306
F15 0.6910 0.7500 0.1638
F16 0.8090 0.2500 0.6638
F17 0.8326 0.7500 0.6306
F18 0.9230 0.0347 0.3540
F19 0.9230 0.4653 0.3540
F20 0.9872 0.7500 0.1066

Principal peaks in the range 2θ from 10° to 90°, by angle:
2θ/deg	Rel. int.
15.5	100
16.2	49
24.2	29
26.6	28
27.8	60
28.8	76
29.2	45
39.9	37
41.0	26
45.6	23
49.6	29
50.3	28

(7)
Structure and theoretical powder diffraction line list of Zn2InFe2 (a PBE-relaxed structure; Cu Kα (λ = 1.5418 Å)).

Structure:
Lattice parameters (Å, degrees): 3.6212 3.6212 12.0038 90.00 90.00 90.00
Fractional positions:
Zn1 0.0000 0.5000 0.2500
Zn2 0.0000 0.5000 0.7500
Zn3 0.5000 0.0000 0.2500
Zn4 0.5000 0.0000 0.7500
In1 0.0000 0.0000 0.0000
In2 0.5000 0.5000 0.5000
Fe1 0.0000 0.0000 0.4060
Fe2 0.0000 0.0000 0.5940
Fe3 0.5000 0.5000 0.0940
Fe4 0.5000 0.5000 0.9060

Principal peaks in the range 2θ from 10° to 90°, by angle:
2θ/deg	Rel. int.
29.8	16
33.4	31
38.2	100
45.3	38
50.4	33
59.6	18
61.8	14
70.1	20
74.0	10
81.8	11
83.7	9
86.5	17

(8)
Structure and theoretical powder diffraction line list of SmY3Se6 (a PBE-relaxed structure; Cu Kα (λ = 1.5418 Å)).

Structure:
Lattice parameters (Å, degrees): 7.7415 7.7415 7.7415 55.89 55.89 55.89
Fractional positions:
Sm1 0.0000 0.0000 0.0000
Y1 0.3008 0.3008 0.3008
Y2 0.4975 0.4975 0.4975
Y3 0.8025 0.8025 0.8025
Se1 0.0929 0.4087 0.6956
Se2 0.2042 0.9003 0.5913
Se3 0.4087 0.6956 0.0929
Se4 0.5913 0.2042 0.9003
Se5 0.6956 0.0929 0.4087
Se6 0.9003 0.5913 0.2042

Principal peaks in the range 2θ from 10° to 90°, by angle:
2θ/deg	Rel. int.
16.8	41
23.1	40
24.5	16
28.2	100
33.9	33
37.1	98
42.3	28
43.2	68
48.9	36
52.4	14
58.2	24
75.2	20